The following is a calculated XRD peak list of Hf4CdCu. It was derived from a GGA-PBE-relaxed structure, using Cu Kα.
Peak positions follow from Bragg's law for the DFT cell and can differ from measured ones.

Crystal structure
Cell: 3.1638 3.1638 12.2321 Å, 90.00 90.00 90.00°
Fractional coordinates of all 6 atoms:
Hf1 0.0000 0.0000 0.1432
Hf2 0.0000 0.0000 0.8568
Hf3 0.5000 0.5000 0.3157
Hf4 0.5000 0.5000 0.6843
Cd1 0.0000 0.0000 0.5000
Cu1 0.5000 0.5000 0.0000

The 6 most intense peaks (10° ≤ 2θ ≤ 90°), in order of rising 2θ:
| 2theta | Rel. int. |
| --- | --- |
| 35.93 | 100.0 |
| 40.31 | 41.2 |
| 58.33 | 13.9 |
| 61.54 | 13.9 |
| 70.44 | 27.8 |
| 76.19 | 10.8 |